Entry 1:
Starting from DFT lattice parameters and positions (GGA-PBE), the powder X-ray diffraction pattern of Nd5Hf3N8 was computed for Cu Kα.

```
data_Nd5Hf3N8
_cell_length_a 6.8841
_cell_length_b 6.8841
_cell_length_c 17.2366
_cell_angle_alpha 90.00
_cell_angle_beta 90.00
_cell_angle_gamma 120.00
_symmetry_space_group_name_H-M 'R -3 m'
_symmetry_Int_Tables_number 166
_symmetry_space_group_name_Hall '-R 3 2"'
loop_
_atom_site_label
_atom_site_type_symbol
_atom_site_fract_x
_atom_site_fract_y
_atom_site_fract_z
Nd1 Nd 0.0000 0.0000 0.0000
Nd2 Nd 0.0000 0.0000 0.5000
Nd3 Nd 0.0000 0.5000 0.0000
Hf1 Hf 0.0000 0.5000 0.5000
N1 N 0.0000 0.0000 0.2374
N2 N 0.0211 0.5105 0.7606
```

Most intense lines, 10° ≤ 2θ ≤ 90°, in order of rising 2θ:
2θ/deg  I_rel
31.13  355
31.76  1000
36.66  958
52.40  332
53.22  322
62.22  160
62.96  303
63.33  148
66.37  162
88.71  148

---

Entry 2:
Starting from DFT lattice parameters and positions (GGA-PBE), the powder X-ray diffraction pattern of Y2Al3Zn6 was computed for Cu Kα.

```
data_Y2Al3Zn6
_cell_length_a 10.220
_cell_length_b 10.356
_cell_length_c 4.024
_cell_angle_alpha 90.00
_cell_angle_beta 90.00
_cell_angle_gamma 90.00
_symmetry_space_group_name_H-M 'C m m m'
_symmetry_Int_Tables_number 65
_symmetry_space_group_name_Hall '-C 2 2'
loop_
_atom_site_label
_atom_site_type_symbol
_atom_site_fract_x
_atom_site_fract_y
_atom_site_fract_z
Y1 Y 0.000 0.219 0.000
Al1 Al 0.000 0.500 0.500
Al2 Al 0.203 0.500 0.000
Zn1 Zn 0.116 0.000 0.500
Zn2 Zn 0.190 0.345 0.500
```

Most intense lines, 10° ≤ 2θ ≤ 90°, in order of rising 2θ:
2θ/deg  I_rel
22.09  302
28.23  629
33.20  1000
35.37  672
37.08  584
39.00  230
43.58  386
45.06  452
45.23  246
59.72  274

---

Entry 3:
Starting from DFT lattice parameters and positions (GGA-PBE), the powder X-ray diffraction pattern of Sm4Ga12Ir was computed for Cu Kα.

```
data_Sm4Ga12Ir
_cell_length_a 8.713
_cell_length_b 8.713
_cell_length_c 8.713
_cell_angle_alpha 90.00
_cell_angle_beta 90.00
_cell_angle_gamma 90.00
_symmetry_space_group_name_H-M 'I m -3 m'
_symmetry_Int_Tables_number 229
_symmetry_space_group_name_Hall '-I 4 2 3'
loop_
_atom_site_label
_atom_site_type_symbol
_atom_site_fract_x
_atom_site_fract_y
_atom_site_fract_z
Sm1 Sm 0.250 0.250 0.250
Ga1 Ga 0.000 0.000 0.292
Ga2 Ga 0.000 0.250 0.500
Ir1 Ir 0.000 0.000 0.000
```

Most intense lines, 10° ≤ 2θ ≤ 90°, in order of rising 2θ:
2θ/deg  I_rel
28.98  485
32.50  166
35.70  1000
38.66  241
41.45  828
49.04  141
51.37  151
60.07  496
71.87  297
75.61  150